The following is a simulated X-ray powder pattern of KRbAuF6. It was derived from a DFT-relaxed cell (GGA-PBE, Alexandria), using copper Kα.
Lines closer than 0.1° are merged.

Atomic structure:
```
data_KRbAuF6
_cell_length_a 4.819
_cell_length_b 5.935
_cell_length_c 6.185
_cell_angle_alpha 118.59
_cell_angle_beta 90.48
_cell_angle_gamma 90.02
_symmetry_space_group_name_H-M 'P 1'
_symmetry_Int_Tables_number 1
_symmetry_space_group_name_Hall 'P 1'
loop_
_atom_site_label
_atom_site_fract_x
_atom_site_fract_y
_atom_site_fract_z
_atom_site_occupancy
K1 0.000 0.000 0.000 1
Rb1 0.555 0.348 0.697 1
Au1 0.272 0.676 0.352 1
F1 0.044 0.513 0.503 1
F2 0.045 0.991 0.494 1
F3 0.047 0.494 0.998 1
F4 0.492 0.859 0.711 1
F5 0.496 0.358 0.207 1
F6 0.498 0.840 0.199 1
```

Top 10 peaks for 2θ = 10–80°, in order of rising 2θ:
2theta, I/Imax
16.32, 367
17.02, 783
18.41, 483
24.58, 514
25.24, 1000
28.89, 694
30.12, 312
38.20, 373
39.25, 582
41.18, 409



The following is a simulated X-ray powder pattern of LaAu2F8. It was derived from a DFT-relaxed cell (GGA-PBE, Alexandria), using copper Kα.
Lines closer than 0.1° are merged.

Atomic structure:
```
data_LaAu2F8
_cell_length_a 6.947
_cell_length_b 6.947
_cell_length_c 6.947
_cell_angle_alpha 129.96
_cell_angle_beta 129.96
_cell_angle_gamma 73.47
_symmetry_space_group_name_H-M 'P 1'
_symmetry_Int_Tables_number 1
_symmetry_space_group_name_Hall 'P 1'
loop_
_atom_site_label
_atom_site_fract_x
_atom_site_fract_y
_atom_site_fract_z
_atom_site_occupancy
La1 0.000 0.000 0.000 1
Au1 0.250 0.750 0.500 1
Au2 0.750 0.250 0.500 1
F1 0.038 0.570 0.849 1
F2 0.189 0.038 0.469 1
F3 0.280 0.430 0.469 1
F4 0.430 0.962 0.151 1
F5 0.570 0.720 0.531 1
F6 0.720 0.189 0.151 1
F7 0.811 0.280 0.849 1
F8 0.962 0.811 0.531 1
```

Top 10 peaks for 2θ = 10–80°, in order of rising 2θ:
2theta, I/Imax
15.92, 177
17.06, 231
21.38, 255
26.77, 1000
30.42, 248
34.51, 130
43.56, 163
44.85, 342
51.87, 340
54.12, 150



The following is a simulated X-ray powder pattern of LaAu3F12. It was derived from a DFT-relaxed cell (GGA-PBE, Alexandria), using copper Kα.
Lines closer than 0.1° are merged.

Atomic structure:
```
data_LaAu3F12
_cell_length_a 8.346
_cell_length_b 8.346
_cell_length_c 8.346
_cell_angle_alpha 80.18
_cell_angle_beta 80.18
_cell_angle_gamma 80.18
_symmetry_space_group_name_H-M 'P 1'
_symmetry_Int_Tables_number 1
_symmetry_space_group_name_Hall 'P 1'
loop_
_atom_site_label
_atom_site_fract_x
_atom_site_fract_y
_atom_site_fract_z
_atom_site_occupancy
La1 0.250 0.250 0.250 1
La2 0.750 0.750 0.750 1
Au1 0.161 0.750 0.339 1
Au2 0.250 0.661 0.839 1
Au3 0.339 0.161 0.750 1
Au4 0.661 0.839 0.250 1
Au5 0.750 0.339 0.161 1
Au6 0.839 0.250 0.661 1
F1 0.008 0.695 0.873 1
F2 0.024 0.250 0.476 1
F3 0.127 0.992 0.305 1
F4 0.159 0.341 0.750 1
F5 0.195 0.508 0.373 1
F6 0.250 0.476 0.024 1
F7 0.250 0.841 0.659 1
F8 0.305 0.127 0.992 1
F9 0.341 0.750 0.159 1
F10 0.373 0.195 0.508 1
F11 0.476 0.024 0.250 1
F12 0.492 0.627 0.805 1
F13 0.508 0.373 0.195 1
F14 0.524 0.976 0.750 1
F15 0.627 0.805 0.492 1
F16 0.659 0.250 0.841 1
F17 0.695 0.873 0.008 1
F18 0.750 0.159 0.341 1
F19 0.750 0.524 0.976 1
F20 0.805 0.492 0.627 1
F21 0.841 0.659 0.250 1
F22 0.873 0.008 0.695 1
F23 0.976 0.750 0.524 1
F24 0.992 0.305 0.127 1
```

Top 10 peaks for 2θ = 10–80°, in order of rising 2θ:
2theta, I/Imax
21.85, 967
22.98, 1000
25.88, 285
28.71, 756
32.08, 286
35.17, 300
43.74, 238
44.30, 277
50.20, 259
71.83, 263



The following is a simulated X-ray powder pattern of LiAuF5. It was derived from a DFT-relaxed cell (GGA-PBE, Alexandria), using copper Kα.
Lines closer than 0.1° are merged.

Atomic structure:
```
data_LiAuF5
_cell_length_a 5.308
_cell_length_b 5.390
_cell_length_c 8.128
_cell_angle_alpha 98.87
_cell_angle_beta 107.34
_cell_angle_gamma 104.75
_symmetry_space_group_name_H-M 'P 1'
_symmetry_Int_Tables_number 1
_symmetry_space_group_name_Hall 'P 1'
loop_
_atom_site_label
_atom_site_fract_x
_atom_site_fract_y
_atom_site_fract_z
_atom_site_occupancy
Li1 0.104 0.355 0.262 1
Li2 0.896 0.645 0.738 1
Au1 0.500 0.000 0.500 1
Au2 0.500 0.500 0.000 1
F1 0.161 0.292 0.027 1
F2 0.171 0.064 0.348 1
F3 0.267 0.638 0.472 1
F4 0.293 0.688 0.853 1
F5 0.454 0.243 0.782 1
F6 0.546 0.757 0.218 1
F7 0.707 0.312 0.147 1
F8 0.733 0.362 0.528 1
F9 0.829 0.936 0.652 1
F10 0.839 0.708 0.973 1
```

Top 10 peaks for 2θ = 10–80°, in order of rising 2θ:
2theta, I/Imax
18.52, 1000
23.12, 296
23.56, 325
23.68, 285
24.39, 315
25.26, 289
27.33, 222
39.96, 127
43.60, 151
51.90, 117



The following is a simulated X-ray powder pattern of LiAu3F9. It was derived from a DFT-relaxed cell (GGA-PBE, Alexandria), using copper Kα.
Lines closer than 0.1° are merged.

Atomic structure:
```
data_LiAu3F9
_cell_length_a 8.857
_cell_length_b 8.857
_cell_length_c 10.806
_cell_angle_alpha 126.03
_cell_angle_beta 126.03
_cell_angle_gamma 40.70
_symmetry_space_group_name_H-M 'P 1'
_symmetry_Int_Tables_number 1
_symmetry_space_group_name_Hall 'P 1'
loop_
_atom_site_label
_atom_site_fract_x
_atom_site_fract_y
_atom_site_fract_z
_atom_site_occupancy
Li1 0.203 0.797 0.500 1
Li2 0.797 0.203 0.000 1
Au1 0.041 0.453 0.386 1
Au2 0.151 0.555 0.793 1
Au3 0.394 0.699 0.241 1
Au4 0.453 0.041 0.886 1
Au5 0.555 0.151 0.293 1
Au6 0.699 0.394 0.741 1
F1 0.102 0.684 0.537 1
F2 0.178 0.365 0.238 1
F3 0.233 0.966 0.729 1
F4 0.277 0.535 0.172 1
F5 0.363 0.829 0.453 1
F6 0.365 0.178 0.738 1
F7 0.434 0.554 0.023 1
F8 0.518 0.857 0.309 1
F9 0.529 0.925 0.041 1
F10 0.535 0.277 0.672 1
F11 0.554 0.434 0.523 1
F12 0.684 0.102 0.037 1
F13 0.829 0.363 0.953 1
F14 0.857 0.518 0.809 1
F15 0.909 0.958 0.349 1
F16 0.925 0.529 0.541 1
F17 0.958 0.909 0.849 1
F18 0.966 0.233 0.229 1
```

Top 10 peaks for 2θ = 10–80°, in order of rising 2θ:
2theta, I/Imax
15.94, 194
21.12, 344
21.72, 1000
28.72, 237
28.99, 160
31.03, 169
31.61, 241
32.15, 214
33.18, 144
52.37, 232



The following is a simulated X-ray powder pattern of LiAuF6. It was derived from a DFT-relaxed cell (GGA-PBE, Alexandria), using copper Kα.
Lines closer than 0.1° are merged.

Atomic structure:
```
data_LiAuF6
_cell_length_a 5.492
_cell_length_b 5.492
_cell_length_c 5.492
_cell_angle_alpha 55.75
_cell_angle_beta 55.75
_cell_angle_gamma 55.75
_symmetry_space_group_name_H-M 'P 1'
_symmetry_Int_Tables_number 1
_symmetry_space_group_name_Hall 'P 1'
loop_
_atom_site_label
_atom_site_fract_x
_atom_site_fract_y
_atom_site_fract_z
_atom_site_occupancy
Li1 0.000 0.000 0.000 1
Au1 0.500 0.500 0.500 1
F1 0.120 0.738 0.398 1
F2 0.262 0.602 0.880 1
F3 0.398 0.120 0.738 1
F4 0.602 0.880 0.262 1
F5 0.738 0.398 0.120 1
F6 0.880 0.262 0.602 1
```

Top 10 peaks for 2θ = 10–80°, in order of rising 2θ:
2theta, I/Imax
19.20, 399
20.98, 1000
23.77, 879
32.75, 314
34.94, 153
38.24, 200
40.17, 451
41.11, 159
53.33, 280
56.31, 151